No. 1
Cr7Te8: simulated powder diffraction line list (Cu Kα X-rays), based on a crystal structure in Alexandria, relaxed with PBE.

Atomic structure:
a b c (Å): 12.515 8.166 9.393
angles (deg): 90.00 131.33 90.00
Space group C2/m (No. 12)
Unique sites:
Cr (0.000, 0.000, 0.000) x2
Cr (0.000, 0.269, 0.500) x4
Cr (0.237, 0.500, 0.992) x4
Cr (0.250, 0.250, 0.500) x4
Te (0.036, 0.000, 0.333) x4
Te (0.047, 0.500, 0.331) x4
Te (0.213, 0.246, 0.168) x8

Largest 12 diffraction maxima, in order of rising 2θ, 10° ≤ 2θ ≤ 80°:
(4 0 -2), 2θ 28.5, I 16.7; (2 0 1), 2θ 29.0, I 95.2; (2 2 -2), 2θ 29.1, I 100.0; (4 0 0), 2θ 38.3, I 45.4; (4 2 -3), 2θ 38.5, I 32.4; (4 0 -4), 2θ 38.6, I 14.7; (0 2 3), 2θ 44.4, I 75.1; (6 2 -2), 2θ 50.7, I 21.0; (6 2 -4), 2θ 50.9, I 10.9; (2 4 1), 2θ 53.9, I 23.3; (4 4 0), 2θ 60.0, I 11.8; (2 6 -2), 2θ 72.3, I 18.6

No. 2
Cr3Te5: simulated powder diffraction line list (Cu Kα X-rays), based on a crystal structure in Alexandria, relaxed with PBE.

Atomic structure:
a b c (Å): 3.9888 3.9888 14.7388
angles (deg): 90.00 90.00 120.00
Space group P-3m1 (No. 164)
Unique sites:
Cr (0.0000, 0.0000, 0.0000) x1
Cr (0.0000, 0.0000, 0.2214) x2
Te (0.0000, 0.0000, 0.5000) x1
Te (0.3333, 0.6667, 0.3211) x2
Te (0.3333, 0.6667, 0.8903) x2

Largest 12 diffraction maxima, in order of rising 2θ, 10° ≤ 2θ ≤ 80°:
(1 0 2), 2θ 28.5, I 100.0; (0 0 5), 2θ 30.3, I 15.4; (0 1 3), 2θ 31.7, I 43.6; (0 1 4), 2θ 35.6, I 61.3; (1 0 5), 2θ 40.2, I 14.1; (1 1 0), 2θ 45.5, I 52.3; (1 0 7), 2θ 50.8, I 27.2; (0 2 2), 2θ 54.6, I 16.2; (1 1 5), 2θ 55.6, I 17.2; (2 0 4), 2θ 59.1, I 13.4; (2 1 2), 2θ 73.7, I 13.1; (1 2 4), 2θ 77.6, I 11.7

No. 3
Ti4CrTe8: simulated powder diffraction line list (Cu Kα X-rays), based on a crystal structure in Alexandria, relaxed with PBE.

Atomic structure:
a b c (Å): 13.347 7.674 14.560
angles (deg): 90.00 117.03 90.00
Space group C2/c (No. 15)
Unique sites:
Ti (0.127, 0.115, 0.498) x8
Ti (0.136, 0.364, 0.000) x8
Cr (0.000, 0.131, 0.250) x4
Te (0.020, 0.379, 0.123) x8
Te (0.025, 0.129, 0.631) x8
Te (0.224, 0.377, 0.864) x8
Te (0.229, 0.127, 0.369) x8

Largest 12 diffraction maxima, in order of rising 2θ, 10° ≤ 2θ ≤ 80°:
(0 0 4), 2θ 27.5, I 16.6; (4 0 0), 2θ 30.1, I 12.0; (4 0 -4), 2θ 30.2, I 100.0; (4 0 2), 2θ 38.6, I 8.6; (2 2 -5), 2θ 38.8, I 31.7; (6 2 -3), 2θ 47.2, I 20.8; (0 4 0), 2θ 47.4, I 10.4; (2 2 5), 2θ 50.3, I 7.4; (2 2 -7), 2θ 50.4, I 12.3; (0 4 4), 2θ 55.6, I 9.7; (4 4 -4), 2θ 57.2, I 8.1; (6 2 -11), 2θ 77.1, I 10.5

No. 4
Tl2Cr2Te5: simulated powder diffraction line list (Cu Kα X-rays), based on a crystal structure in Alexandria, relaxed with PBE.

Atomic structure:
a b c (Å): 16.345 7.867 7.852
angles (deg): 90.00 90.00 90.00
Space group Cmce (No. 64)
Unique sites:
Tl (0.212, 0.000, 0.000) x8
Cr (0.000, 0.139, 0.360) x8
Te (0.000, 0.000, 0.000) x4
Te (0.105, 0.158, 0.657) x16

Largest 12 diffraction maxima, in order of rising 2θ, 10° ≤ 2θ ≤ 80°:
(0 0 2), 2θ 22.6, I 30.2; (2 2 0), 2θ 25.1, I 44.6; (4 2 0), 2θ 31.6, I 72.6; (5 1 1), 2θ 31.8, I 100.0; (0 2 2), 2θ 32.2, I 49.0; (4 2 1), 2θ 33.6, I 41.2; (1 3 1), 2θ 36.6, I 92.1; (5 1 2), 2θ 37.6, I 37.3; (6 2 1), 2θ 42.0, I 27.1; (0 2 4), 2θ 52.0, I 32.0; (5 3 3), 2θ 57.2, I 42.1; (9 3 1), 2θ 63.4, I 45.4

No. 5
ZrTl3Cr2Te6: simulated powder diffraction line list (Cu Kα X-rays), based on a crystal structure in Alexandria, relaxed with PBE.

Atomic structure:
a b c (Å): 7.0480 7.0480 8.3956
angles (deg): 90.00 90.00 120.00
Space group P-31m (No. 162)
Unique sites:
Zr (0.0000, 0.0000, 0.0000) x1
Tl (0.0000, 0.0000, 0.5000) x1
Tl (0.3333, 0.6667, 0.5000) x2
Cr (0.3333, 0.6667, 0.0000) x2
Te (0.0000, 0.3483, 0.1893) x6

Largest 12 diffraction maxima, in order of rising 2θ, 10° ≤ 2θ ≤ 80°:
(1 1 0), 2θ 25.3, I 13.9; (1 1 1), 2θ 27.4, I 77.8; (0 0 3), 2θ 32.0, I 15.9; (2 -1 2), 2θ 33.2, I 100.0; (3 0 0), 2θ 44.5, I 38.4; (1 1 4), 2θ 50.6, I 23.2; (4 -2 1), 2θ 53.1, I 12.4; (3 0 3), 2θ 55.9, I 19.4; (2 2 2), 2θ 56.7, I 21.1; (4 -2 4), 2θ 69.7, I 8.6; (4 1 1), 2θ 71.8, I 9.8; (5 -1 2), 2θ 74.8, I 18.1

No. 6
V2CrTe4: simulated powder diffraction line list (Cu Kα X-rays), based on a crystal structure in Alexandria, relaxed with PBE.

Atomic structure:
a b c (Å): 14.171 3.694 6.709
angles (deg): 90.00 116.44 90.00
Space group C2/m (No. 12)
Unique sites:
V (0.246, 0.000, 0.186) x4
Cr (0.000, 0.500, 0.500) x2
Te (0.106, 0.500, 0.951) x4
Te (0.142, 0.000, 0.477) x4

Largest 12 diffraction maxima, in order of rising 2θ, 10° ≤ 2θ ≤ 80°:
(4 0 0), 2θ 28.1, I 26.1; (0 0 2), 2θ 29.7, I 48.3; (4 0 -2), 2θ 30.5, I 51.8; (1 1 1), 2θ 30.8, I 100.0; (3 1 -1), 2θ 31.2, I 61.5; (6 0 -1), 2θ 38.3, I 16.7; (3 1 1), 2θ 39.5, I 35.1; (5 1 -1), 2θ 40.1, I 36.8; (3 1 -3), 2θ 47.5, I 49.3; (0 2 0), 2θ 49.3, I 27.2; (6 0 1), 2θ 51.8, I 15.8; (4 2 -2), 2θ 59.1, I 15.5

No. 7
CrTe2W: simulated powder diffraction line list (Cu Kα X-rays), based on a crystal structure in Alexandria, relaxed with PBE.

Atomic structure:
a b c (Å): 3.766 3.766 7.247
angles (deg): 90.00 90.00 90.00
Space group P-4m2 (No. 115)
Unique sites:
Cr (0.000, 0.000, 0.000) x1
Te (0.000, 0.500, 0.731) x2
W (0.500, 0.500, 0.000) x1

Largest 12 diffraction maxima, in order of rising 2θ, 10° ≤ 2θ ≤ 80°:
(0 0 1), 2θ 12.2, I 84.0; (1 0 0), 2θ 23.6, I 13.7; (1 0 1), 2θ 26.7, I 100.0; (1 0 2), 2θ 34.3, I 13.3; (1 1 1), 2θ 35.9, I 42.0; (0 0 3), 2θ 37.2, I 14.2; (1 1 2), 2θ 42.1, I 86.5; (1 0 3), 2θ 44.6, I 22.9; (2 0 0), 2θ 48.3, I 29.8; (2 1 1), 2θ 56.1, I 25.6; (2 1 3), 2θ 67.8, I 13.2; (2 0 4), 2θ 72.4, I 15.5

No. 8
Zn3CrTe4: simulated powder diffraction line list (Cu Kα X-rays), based on a crystal structure in Alexandria, relaxed with PBE.

Atomic structure:
a b c (Å): 6.201 6.201 6.201
angles (deg): 90.00 90.00 90.00
Space group P-43m (No. 215)
Unique sites:
Zn (0.000, 0.000, 0.500) x3
Cr (0.500, 0.500, 0.500) x1
Te (0.249, 0.249, 0.751) x4

Largest 9 diffraction maxima, in order of rising 2θ, 10° ≤ 2θ ≤ 80°:
(1 1 1), 2θ 24.9, I 100.0; (2 0 0), 2θ 28.8, I 8.2; (2 2 0), 2θ 41.2, I 71.3; (3 1 1), 2θ 48.7, I 47.3; (2 2 2), 2θ 51.0, I 2.3; (4 0 0), 2θ 59.6, I 11.6; (3 3 1), 2θ 65.6, I 18.9; (4 2 0), 2θ 67.6, I 3.2; (4 2 2), 2θ 75.0, I 22.9

No. 9
ZrCr2Te4: simulated powder diffraction line list (Cu Kα X-rays), based on a crystal structure in Alexandria, relaxed with PBE.

Atomic structure:
a b c (Å): 14.795 3.981 7.154
angles (deg): 90.00 118.84 90.00
Space group C2/m (No. 12)
Unique sites:
Zr (0.000, 0.000, 0.000) x2
Cr (0.246, 0.500, 0.729) x4
Te (0.129, 0.000, 0.461) x4
Te (0.136, 0.500, 0.962) x4

Largest 12 diffraction maxima, in order of rising 2θ, 10° ≤ 2θ ≤ 80°:
(2 0 -1), 2θ 14.1, I 10.6; (4 0 0), 2θ 27.5, I 12.3; (0 0 2), 2θ 28.5, I 48.5; (3 1 -1), 2θ 29.1, I 100.0; (6 0 -2), 2θ 37.5, I 29.8; (3 1 1), 2θ 37.9, I 50.2; (3 1 -3), 2θ 44.3, I 39.7; (0 2 0), 2θ 45.6, I 18.6; (4 0 2), 2θ 49.3, I 9.9; (7 1 -1), 2θ 49.7, I 21.5; (0 2 2), 2θ 54.6, I 15.8; (6 2 -2), 2θ 60.4, I 14.1

No. 10
TiV3Cr8: simulated powder diffraction line list (Cu Kα X-rays), based on a crystal structure in Alexandria, relaxed with PBE.

Atomic structure:
a b c (Å): 4.8549 4.8549 7.5035
angles (deg): 90.00 90.00 120.00
Space group P-31m (No. 162)
Unique sites:
Ti (0.0000, 0.0000, 0.0000) x1
V (0.0000, 0.0000, 0.5000) x1
V (0.3333, 0.6667, 0.5000) x2
Cr (0.0000, 0.3467, 0.7514) x6
Cr (0.3333, 0.6667, 0.0000) x2

Largest 11 diffraction maxima, in order of rising 2θ, 10° ≤ 2θ ≤ 80°:
(1 0 0), 2θ 21.1, I 0.8; (1 1 0), 2θ 37.0, I 8.5; (1 1 1), 2θ 39.0, I 53.5; (1 1 2), 2θ 44.5, I 100.0; (0 0 4), 2θ 48.5, I 22.8; (2 -1 3), 2θ 52.5, I 20.5; (2 1 1), 2θ 59.5, I 0.6; (2 -1 4), 2θ 62.6, I 3.2; (3 0 0), 2θ 66.7, I 23.1; (2 -1 5), 2θ 74.3, I 6.4; (2 2 0), 2θ 78.9, I 0.8

No. 11
TiV14Cr: simulated powder diffraction line list (Cu Kα X-rays), based on a crystal structure in Alexandria, relaxed with PBE.

Atomic structure:
a b c (Å): 6.035 8.461 8.499
angles (deg): 90.00 90.00 90.00
Space group Cmmm (No. 65)
Unique sites:
Ti (0.000, 0.000, 0.000) x2
V (0.000, 0.000, 0.500) x2
V (0.000, 0.246, 0.251) x8
V (0.000, 0.500, 0.500) x2
V (0.239, 0.500, 0.251) x8
V (0.250, 0.250, 0.000) x4
V (0.250, 0.250, 0.500) x4
Cr (0.000, 0.500, 0.000) x2

Largest 7 diffraction maxima, in order of rising 2θ, 10° ≤ 2θ ≤ 80°:
(0 0 4), 2θ 42.5, I 100.0; (0 4 0), 2θ 42.8, I 19.7; (4 0 0), 2θ 61.5, I 5.9; (0 4 4), 2θ 61.9, I 11.7; (4 0 4), 2θ 77.6, I 5.6; (2 2 6), 2θ 77.8, I 16.7; (2 6 2), 2θ 78.1, I 11.0

No. 12
TiV5Cr6: simulated powder diffraction line list (Cu Kα X-rays), based on a crystal structure in Alexandria, relaxed with PBE.

Atomic structure:
a b c (Å): 4.162 5.879 12.391
angles (deg): 90.00 90.00 90.00
Space group Immm (No. 71)
Unique sites:
Ti (0.000, 0.000, 0.000) x2
V (0.000, 0.000, 0.333) x4
V (0.000, 0.500, 0.000) x2
V (0.000, 0.500, 0.333) x4
Cr (0.000, 0.244, 0.500) x4
Cr (0.000, 0.253, 0.169) x8

Largest 6 diffraction maxima, in order of rising 2θ, 10° ≤ 2θ ≤ 80°:
(2 0 0), 2θ 43.5, I 25.3; (1 2 3), 2θ 43.6, I 100.0; (0 0 6), 2θ 43.8, I 24.6; (0 4 0), 2θ 63.3, I 7.3; (2 0 6), 2θ 63.5, I 14.4; (3 2 3), 2θ 79.9, I 20.9

No. 13
TiV12Cr6: simulated powder diffraction line list (Cu Kα X-rays), based on a crystal structure in Alexandria, relaxed with PBE.

Atomic structure:
a b c (Å): 8.357 11.727 5.489
angles (deg): 90.00 104.04 90.00
Space group C2/m (No. 12)
Unique sites:
Ti (0.000, 0.000, 0.000) x2
V (0.000, 0.118, 0.500) x4
V (0.035, 0.500, 0.775) x4
V (0.176, 0.337, 0.590) x8
V (0.246, 0.139, 0.927) x8
Cr (0.035, 0.253, 0.192) x8
Cr (0.242, 0.000, 0.616) x4

Largest 12 diffraction maxima, in order of rising 2θ, 10° ≤ 2θ ≤ 80°:
(2 4 0), 2θ 37.9, I 63.4; (1 1 2), 2θ 38.8, I 29.9; (2 4 -1), 2θ 39.3, I 100.0; (1 3 -2), 2θ 40.3, I 97.0; (3 3 0), 2θ 40.6, I 27.6; (3 3 -1), 2θ 40.7, I 47.2; (3 1 1), 2θ 41.7, I 29.1; (2 4 1), 2θ 43.9, I 29.5; (4 0 0), 2θ 44.7, I 73.5; (0 4 2), 2θ 46.0, I 49.1; (4 2 -1), 2θ 46.5, I 46.8; (2 2 2), 2θ 47.8, I 31.3